Diffraction record for Pm2ThCu2Si2. The PXRD pattern is computed, not measured: it uses a GGA-PBE-relaxed structure and a wavelength of 1.5418 Å.

Top 6 peaks for 5 to 70 degrees two-theta, sorted by position:
- 11.252 Å, 7.86 deg, I = 30
- 3.531 Å, 25.22 deg, I = 53
- 2.859 Å, 31.29 deg, I = 57
- 2.717 Å, 32.97 deg, I = 100
- 2.446 Å, 36.74 deg, I = 36
- 2.050 Å, 44.19 deg, I = 59

Cell and atoms:
```
Pm2ThCu2Si2
1.0
2.050 1.183 11.252
-2.050 1.183 11.252
0.000 -2.367 11.252
Pm Th Cu Si
2 1 2 2
Direct
0.120 0.120 0.120
0.880 0.880 0.880
0.000 0.000 0.000
0.394 0.394 0.394
0.606 0.606 0.606
0.271 0.271 0.271
0.729 0.729 0.729
```